[1]
Structure and computed PXRD pattern of FeP2O7 (a cell relaxed with GGA+U; CuKα).
Kinematic intensities with the Lorentz-polarization factor, no thermal factor.

Cell and atoms:
```
data_FeP2O7
_cell_length_a 6.381
_cell_length_b 6.589
_cell_length_c 6.952
_cell_angle_alpha 88.84
_cell_angle_beta 66.01
_cell_angle_gamma 85.10
_symmetry_space_group_name_H-M 'P -1'
_symmetry_Int_Tables_number 2
loop_
_symmetry_equiv_pos_as_xyz
'x,y,z'
'-x,-y,-z'
loop_
_atom_site_label
_atom_site_fract_x
_atom_site_fract_y
_atom_site_fract_z
_atom_site_occupancy
Fe1 0.100 0.151 0.286 1
P1 0.220 0.642 0.249 1
P2 0.338 0.887 0.847 1
O1 0.066 0.831 0.376 1
O2 0.093 0.452 0.273 1
O3 0.207 0.847 0.714 1
O4 0.243 0.079 0.985 1
O5 0.307 0.696 0.006 1
O6 0.406 0.118 0.293 1
O7 0.423 0.603 0.313 1
```

Main lines, in order of falling intensity (2θ from 10° to 80°):
15.95°, intensity 100.0, (1 0 1); 28.11°, intensity 98.4, (2 0 1); 30.46°, intensity 51.6, (0 2 -1); 13.49°, intensity 45.3, (0 1 0); 30.87°, intensity 41.2, (0 2 1); 19.56°, intensity 29.6, (1 1 0)


[2]
Structure and computed PXRD pattern of FePO4 (a cell relaxed with GGA+U; CuKα).
Kinematic intensities with the Lorentz-polarization factor, no thermal factor.

Cell and atoms:
```
data_FePO4
_cell_length_a 10.159
_cell_length_b 7.706
_cell_length_c 5.356
_cell_angle_alpha 90.00
_cell_angle_beta 90.00
_cell_angle_gamma 90.00
_symmetry_space_group_name_H-M 'P n a 21'
_symmetry_Int_Tables_number 33
loop_
_symmetry_equiv_pos_as_xyz
'x,y,z'
'-x,-y,z+1/2'
'-x+1/2,y+1/2,z+1/2'
'x+1/2,-y+1/2,z'
loop_
_atom_site_label
_atom_site_fract_x
_atom_site_fract_y
_atom_site_fract_z
_atom_site_occupancy
Fe1 0.100 0.197 0.000 1
P1 0.178 0.974 0.500 1
O1 0.086 0.817 0.457 1
O2 0.140 0.128 0.331 1
O3 0.169 0.032 0.777 1
O4 0.179 0.417 0.944 1
```

Main lines, in order of falling intensity (2θ from 10° to 80°):
20.19°, intensity 100.0, (0 1 1); 14.43°, intensity 73.3, (1 1 0); 20.95°, intensity 47.4, (2 1 0); 22.02°, intensity 33.0, (1 1 1); 33.45°, intensity 24.7, (0 0 2); 33.65°, intensity 22.7, (2 2 1)


[3]
Structure and computed PXRD pattern of FeP3O9 (a cell relaxed with GGA+U; CuKα).
Kinematic intensities with the Lorentz-polarization factor, no thermal factor.

Cell and atoms:
```
data_FeP3O9
_cell_length_a 8.447
_cell_length_b 8.531
_cell_length_c 8.661
_cell_angle_alpha 90.04
_cell_angle_beta 90.20
_cell_angle_gamma 90.62
_symmetry_space_group_name_H-M 'P 1'
_symmetry_Int_Tables_number 1
loop_
_symmetry_equiv_pos_as_xyz
'x,y,z'
loop_
_atom_site_label
_atom_site_fract_x
_atom_site_fract_y
_atom_site_fract_z
_atom_site_occupancy
Fe1 0.000 0.000 0.000 1
Fe2 0.229 0.718 0.497 1
Fe3 0.501 0.213 0.700 1
Fe4 0.733 0.503 0.200 1
P1 0.046 0.369 0.041 1
P2 0.074 0.049 0.400 1
P3 0.158 0.668 0.902 1
P4 0.187 0.348 0.538 1
P5 0.330 0.178 0.038 1
P6 0.400 0.684 0.156 1
P7 0.546 0.842 0.660 1
P8 0.567 0.164 0.298 1
P9 0.667 0.552 0.798 1
P10 0.689 0.874 0.157 1
P11 0.836 0.033 0.662 1
P12 0.902 0.539 0.539 1
O1 0.004 0.674 0.483 1
O2 0.011 0.394 0.593 1
O3 0.026 0.017 0.237 1
O4 0.051 0.775 0.992 1
O5 0.080 0.493 0.906 1
O6 0.149 0.224 0.403 1
O7 0.187 0.944 0.486 1
O8 0.200 0.699 0.739 1
O9 0.223 0.323 0.093 1
O10 0.226 0.044 0.982 1
O11 0.268 0.265 0.669 1
O12 0.268 0.490 0.470 1
O13 0.276 0.740 0.264 1
O14 0.321 0.639 0.994 1
O15 0.406 0.131 0.201 1
O16 0.458 0.231 0.930 1
O17 0.463 0.758 0.529 1
O18 0.466 0.982 0.729 1
O19 0.502 0.549 0.206 1
O20 0.514 0.827 0.099 1
O21 0.520 0.193 0.461 1
O22 0.562 0.439 0.712 1
O23 0.586 0.721 0.796 1
O24 0.650 0.995 0.294 1
O25 0.672 0.277 0.212 1
O26 0.716 0.520 0.961 1
O27 0.722 0.889 0.605 1
O28 0.734 0.168 0.709 1
O29 0.769 0.735 0.227 1
O30 0.771 0.957 0.025 1
O31 0.773 0.486 0.431 1
O32 0.828 0.585 0.702 1
O33 0.915 0.074 0.499 1
O34 0.962 0.979 0.772 1
O35 0.963 0.227 0.974 1
O36 0.966 0.450 0.173 1
```

Main lines, in order of falling intensity (2θ from 10° to 80°):
23.08°, intensity 100.0, (1 0 2); 23.45°, intensity 52.6, (1 2 0); 23.26°, intensity 37.0, (1 -2 0); 33.39°, intensity 31.5, (1 3 0); 32.75°, intensity 27.5, (0 1 3); 33.14°, intensity 23.2, (1 -3 0)


[4]
Structure and computed PXRD pattern of FePO4 (a cell relaxed with GGA+U; CuKα).
Kinematic intensities with the Lorentz-polarization factor, no thermal factor.

Cell and atoms:
```
data_FePO4
_cell_length_a 5.275
_cell_length_b 7.927
_cell_length_c 6.450
_cell_angle_alpha 90.00
_cell_angle_beta 90.00
_cell_angle_gamma 90.00
_symmetry_space_group_name_H-M 'C m c m'
_symmetry_Int_Tables_number 63
_symmetry_space_group_name_Hall '-C 2c 2'
loop_
_atom_site_label
_atom_site_fract_x
_atom_site_fract_y
_atom_site_fract_z
_atom_site_occupancy
Fe1 0.000 0.000 0.000 1
P1 0.000 0.347 0.250 1
O1 0.000 0.240 0.053 1
O2 0.243 0.463 0.250 1
```

Main lines, in order of falling intensity (2θ from 10° to 80°):
34.50°, intensity 100.0, (1 1 2); 24.52°, intensity 56.6, (1 1 1); 20.22°, intensity 53.9, (1 1 0); 38.09°, intensity 39.1, (1 3 0); 33.99°, intensity 33.2, (2 0 0); 26.39°, intensity 31.2, (0 2 1)


[5]
Structure and computed PXRD pattern of FeP3O9 (a cell relaxed with GGA+U; CuKα).
Kinematic intensities with the Lorentz-polarization factor, no thermal factor.

Cell and atoms:
```
data_FeP3O9
_cell_length_a 6.943
_cell_length_b 7.219
_cell_length_c 7.324
_cell_angle_alpha 83.80
_cell_angle_beta 84.50
_cell_angle_gamma 76.48
_symmetry_space_group_name_H-M 'P -1'
_symmetry_Int_Tables_number 2
loop_
_symmetry_equiv_pos_as_xyz
'x,y,z'
'-x,-y,-z'
loop_
_atom_site_label
_atom_site_fract_x
_atom_site_fract_y
_atom_site_fract_z
_atom_site_occupancy
Fe1 0.072 0.151 0.183 1
P1 0.054 0.223 0.634 1
P2 0.255 0.442 0.852 1
P3 0.362 0.769 0.301 1
O1 0.095 0.047 0.770 1
O2 0.106 0.193 0.433 1
O3 0.168 0.378 0.678 1
O4 0.172 0.665 0.337 1
O5 0.181 0.655 0.853 1
O6 0.210 0.321 0.024 1
O7 0.299 0.936 0.154 1
O8 0.438 0.800 0.472 1
O9 0.488 0.402 0.806 1
```

Main lines, in order of falling intensity (2θ from 10° to 80°):
13.15°, intensity 100.0, (1 0 0); 18.91°, intensity 74.4, (1 1 1); 27.62°, intensity 74.2, (1 1 2); 32.01°, intensity 54.2, (2 -1 0); 21.47°, intensity 46.8, (1 1 -1); 26.65°, intensity 41.2, (0 1 2)


[6]
Structure and computed PXRD pattern of Fe3P4O14 (a cell relaxed with GGA+U; CuKα).
Kinematic intensities with the Lorentz-polarization factor, no thermal factor.

Cell and atoms:
```
data_Fe3P4O14
_cell_length_a 7.302
_cell_length_b 7.896
_cell_length_c 9.529
_cell_angle_alpha 90.00
_cell_angle_beta 111.12
_cell_angle_gamma 90.00
_symmetry_space_group_name_H-M 'P 1 21/c 1'
_symmetry_Int_Tables_number 14
loop_
_symmetry_equiv_pos_as_xyz
'x,y,z'
'-x,-y,-z'
'-x,y+1/2,-z+1/2'
'x,-y+1/2,z+1/2'
loop_
_atom_site_label
_atom_site_fract_x
_atom_site_fract_y
_atom_site_fract_z
_atom_site_occupancy
Fe1 0.000 0.000 0.000 1
Fe2 0.194 0.135 0.529 1
P1 0.116 0.711 0.804 1
P2 0.403 0.052 0.295 1
O1 0.006 0.216 0.866 1
O2 0.034 0.579 0.890 1
O3 0.147 0.621 0.382 1
O4 0.282 0.130 0.140 1
O5 0.319 0.636 0.805 1
O6 0.370 0.157 0.419 1
O7 0.382 0.516 0.179 1
```

Main lines, in order of falling intensity (2θ from 10° to 80°):
29.94°, intensity 100.0, (1 1 2); 13.00°, intensity 83.2, (1 0 0); 17.36°, intensity 71.1, (1 1 -1); 29.67°, intensity 61.2, (1 2 1); 28.97°, intensity 48.3, (2 1 -2); 15.01°, intensity 40.2, (0 1 1)


[7]
Structure and computed PXRD pattern of FePO4 (a cell relaxed with GGA+U; CuKα).
Kinematic intensities with the Lorentz-polarization factor, no thermal factor.

Cell and atoms:
```
data_FePO4
_cell_length_a 5.224
_cell_length_b 10.085
_cell_length_c 8.742
_cell_angle_alpha 90.00
_cell_angle_beta 126.10
_cell_angle_gamma 90.00
_symmetry_space_group_name_H-M 'P 1 21/c 1'
_symmetry_Int_Tables_number 14
loop_
_symmetry_equiv_pos_as_xyz
'x,y,z'
'-x,-y,-z'
'-x,y+1/2,-z+1/2'
'x,-y+1/2,z+1/2'
loop_
_atom_site_label
_atom_site_fract_x
_atom_site_fract_y
_atom_site_fract_z
_atom_site_occupancy
Fe1 0.207 0.175 0.008 1
P1 0.476 0.089 0.775 1
O1 0.210 0.656 0.564 1
O2 0.220 0.119 0.808 1
O3 0.360 0.148 0.580 1
O4 0.472 0.062 0.222 1
```

Main lines, in order of falling intensity (2θ from 10° to 80°):
22.84°, intensity 100.0, (1 1 0); 15.31°, intensity 96.7, (0 1 1); 21.26°, intensity 84.5, (1 0 -2); 21.65°, intensity 58.3, (0 2 1); 30.91°, intensity 51.6, (0 2 2); 29.42°, intensity 51.4, (0 3 1)